1.
Starting from a cell relaxed with PBE, the XRD peak list of BaCuRhO3 was calculated for a wavelength of 1.5418 Å.
No peak broadening, texture or thermal motion is included.

Largest 10 diffraction maxima, low angle first, 10 to 90 degrees two-theta:
hkl 1 1 1, 3.748 Å, I 17
hkl 1 3 0, 3.061 Å, I 32
hkl 2 0 0, 2.821 Å, I 99
hkl 0 4 0, 2.731 Å, I 21
hkl 1 3 1, 2.690 Å, I 100
hkl 1 3 2, 2.073 Å, I 23
hkl 2 0 2, 1.995 Å, I 53
hkl 2 4 2, 1.611 Å, I 15
hkl 3 3 1, 1.602 Å, I 41
hkl 4 0 2, 1.262 Å, I 16

Atomic structure:
```
data_BaCuRhO3
_symmetry_space_group_name_H-M 'C m c m'
_symmetry_Int_Tables_number 63
_symmetry_space_group_name_Hall '-C 2c 2'
_cell_length_a 5.6479
_cell_length_b 10.9249
_cell_length_c 5.6375
_cell_angle_alpha 90.00
_cell_angle_beta 90.00
_cell_angle_gamma 90.00
loop_
_atom_site_label
_atom_site_type_symbol
_atom_site_fract_x
_atom_site_fract_y
_atom_site_fract_z
Ba1 Ba 0.0000 0.2201 0.2500
Cu1 Cu 0.0000 0.0784 0.7500
Rh1 Rh 0.0000 0.4702 0.7500
O1 O 0.0000 0.2574 0.7500
O2 O 0.2384 0.0000 0.0000
```


2.
Starting from a cell relaxed with PBE, the XRD peak list of Ba3CuRu2O9 was calculated for a wavelength of 1.5418 Å.
No peak broadening, texture or thermal motion is included.

Largest 10 diffraction maxima, low angle first, 10 to 90 degrees two-theta:
hkl 1 1 3, 3.478 Å, I 24
hkl 1 3 0, 2.971 Å, I 100
hkl 1 1 4, 2.933 Å, I 58
hkl 1 3 1, 2.910 Å, I 16
hkl 2 0 0, 2.869 Å, I 41
hkl 0 4 3, 2.292 Å, I 27
hkl 2 2 4, 2.063 Å, I 32
hkl 2 2 5, 1.896 Å, I 11
hkl 3 3 0, 1.675 Å, I 13
hkl 3 1 4, 1.668 Å, I 11

Atomic structure:
```
data_Ba3CuRu2O9
_symmetry_space_group_name_H-M 'C m c m'
_symmetry_Int_Tables_number 63
_symmetry_space_group_name_Hall '-C 2c 2'
_cell_length_a 5.7373
_cell_length_b 10.4203
_cell_length_c 14.4510
_cell_angle_alpha 90.00
_cell_angle_beta 90.00
_cell_angle_gamma 90.00
loop_
_atom_site_label
_atom_site_type_symbol
_atom_site_fract_x
_atom_site_fract_y
_atom_site_fract_z
Ba1 Ba 0.0000 0.0280 0.2500
Ba2 Ba 0.0000 0.3138 0.5974
Cu1 Cu 0.0000 0.0000 0.0000
Ru1 Ru 0.0000 0.3628 0.1522
O1 O 0.0000 0.2106 0.0802
O2 O 0.0000 0.4878 0.7500
O3 O 0.2257 0.2879 0.2500
O4 O 0.2440 0.0542 0.5912
```


3.
Starting from a cell relaxed with PBE, the XRD peak list of Ba4CuSb3O12 was calculated for a wavelength of 1.5418 Å.
No peak broadening, texture or thermal motion is included.

Largest 10 diffraction maxima, low angle first, 10 to 90 degrees two-theta:
hkl 1 1 0, 5.910 Å, I 2
hkl 2 1 1, 3.412 Å, I 1
hkl 2 2 0, 2.955 Å, I 100
hkl 2 2 2, 2.413 Å, I 4
hkl 4 0 0, 2.090 Å, I 30
hkl 4 2 2, 1.706 Å, I 40
hkl 4 4 0, 1.478 Å, I 19
hkl 6 2 0, 1.322 Å, I 17
hkl 4 4 4, 1.206 Å, I 6
hkl 6 4 2, 1.117 Å, I 21

Atomic structure:
```
data_Ba4CuSb3O12
_symmetry_space_group_name_H-M 'I m -3 m'
_symmetry_Int_Tables_number 229
_symmetry_space_group_name_Hall '-I 4 2 3'
_cell_length_a 8.3581
_cell_length_b 8.3581
_cell_length_c 8.3581
_cell_angle_alpha 90.00
_cell_angle_beta 90.00
_cell_angle_gamma 90.00
loop_
_atom_site_label
_atom_site_type_symbol
_atom_site_fract_x
_atom_site_fract_y
_atom_site_fract_z
Ba1 Ba 0.2500 0.2500 0.2500
Cu1 Cu 0.0000 0.0000 0.0000
Sb1 Sb 0.0000 0.0000 0.5000
O1 O 0.0000 0.0000 0.2645
O2 O 0.0000 0.2500 0.5000
```


4.
Starting from a cell relaxed with PBE, the XRD peak list of BaCu4Sb3O12 was calculated for a wavelength of 1.5418 Å.
No peak broadening, texture or thermal motion is included.

Largest 10 diffraction maxima, low angle first, 10 to 90 degrees two-theta:
hkl 0 2 1, 4.096 Å, I 26
hkl 2 1 1, 3.287 Å, I 44
hkl 3 0 0, 3.181 Å, I 30
hkl 2 0 2, 3.062 Å, I 100
hkl 1 3 1, 2.513 Å, I 37
hkl 1 1 3, 2.397 Å, I 24
hkl 2 3 2, 1.920 Å, I 24
hkl 0 2 4, 1.841 Å, I 20
hkl 5 0 2, 1.722 Å, I 25
hkl 5 2 0, 1.528 Å, I 25

Atomic structure:
```
data_BaCu4Sb3O12
_symmetry_space_group_name_H-M 'R 3 2'
_symmetry_Int_Tables_number 155
_symmetry_space_group_name_Hall 'R 3 2"'
_cell_length_a 11.0203
_cell_length_b 11.0203
_cell_length_c 7.9844
_cell_angle_alpha 90.00
_cell_angle_beta 90.00
_cell_angle_gamma 120.00
loop_
_atom_site_label
_atom_site_type_symbol
_atom_site_fract_x
_atom_site_fract_y
_atom_site_fract_z
Ba1 Ba 0.0000 0.0000 0.0000
Cu1 Cu 0.0000 0.0000 0.5000
Cu2 Cu 0.0000 0.4077 0.5000
Sb1 Sb 0.0000 0.5709 0.0000
O1 O 0.0000 0.5931 0.5000
O2 O 0.0000 0.8257 0.5000
O3 O 0.0616 0.2131 0.2123
```


5.
Starting from a cell relaxed with PBE, the XRD peak list of BaCuSbO5 was calculated for a wavelength of 1.5418 Å.
No peak broadening, texture or thermal motion is included.

Largest 10 diffraction maxima, low angle first, 10 to 90 degrees two-theta:
hkl 1 1 -2, 3.478 Å, I 100
hkl 2 0 0, 3.299 Å, I 84
hkl 1 3 0, 2.922 Å, I 99
hkl 0 2 2, 2.816 Å, I 53
hkl 2 2 -2, 2.600 Å, I 26
hkl 1 1 2, 2.559 Å, I 22
hkl 3 1 -2, 2.256 Å, I 23
hkl 2 0 -4, 1.862 Å, I 40
hkl 3 3 0, 1.823 Å, I 33
hkl 1 3 -4, 1.613 Å, I 22

Atomic structure:
```
data_BaCuSbO5
_symmetry_space_group_name_H-M 'C 1 2/c 1'
_symmetry_Int_Tables_number 15
_cell_length_a 7.1921
_cell_length_b 9.7759
_cell_length_c 7.5098
_cell_angle_alpha 90.00
_cell_angle_beta 113.45
_cell_angle_gamma 90.00
loop_
_symmetry_equiv_pos_as_xyz
'x,y,z'
'-x,-y,-z'
'-x,y,-z+1/2'
'x,-y,z+1/2'
'x+1/2,y+1/2,z'
'-x+1/2,-y+1/2,-z'
'-x+1/2,y+1/2,-z+1/2'
'x+1/2,-y+1/2,z+1/2'
loop_
_atom_site_label
_atom_site_type_symbol
_atom_site_fract_x
_atom_site_fract_y
_atom_site_fract_z
Ba1 Ba 0.0000 0.1628 0.2500
Cu1 Cu 0.0000 0.1896 0.7500
Sb1 Sb 0.0000 0.5000 0.0000
O1 O 0.0000 0.4325 0.2500
O2 O 0.0924 0.3090 0.5996
O3 O 0.2062 0.0637 0.9129
```


6.
Starting from a cell relaxed with PBE, the XRD peak list of Ba3CuSb2O9 was calculated for a wavelength of 1.5418 Å.
No peak broadening, texture or thermal motion is included.

Largest 10 diffraction maxima, low angle first, 10 to 90 degrees two-theta:
hkl 1 0 3, 3.516 Å, I 26
hkl 1 0 4, 2.964 Å, I 71
hkl 1 1 0, 2.943 Å, I 100
hkl 2 0 3, 2.257 Å, I 18
hkl 2 0 4, 2.088 Å, I 40
hkl 1 0 7, 1.927 Å, I 11
hkl 2 1 4, 1.703 Å, I 28
hkl 3 0 0, 1.699 Å, I 20
hkl 2 2 0, 1.471 Å, I 19
hkl 3 1 4, 1.318 Å, I 12

Atomic structure:
```
data_Ba3CuSb2O9
_symmetry_space_group_name_H-M 'P 63 m c'
_symmetry_Int_Tables_number 186
_symmetry_space_group_name_Hall 'P 6c -2c'
_cell_length_a 5.8853
_cell_length_b 5.8853
_cell_length_c 14.5716
_cell_angle_alpha 90.00
_cell_angle_beta 90.00
_cell_angle_gamma 120.00
loop_
_atom_site_label
_atom_site_type_symbol
_atom_site_fract_x
_atom_site_fract_y
_atom_site_fract_z
Ba1 Ba 0.0000 0.0000 0.0000
Ba2 Ba 0.3333 0.6667 0.1675
Ba3 Ba 0.3333 0.6667 0.8627
Cu1 Cu 0.3333 0.6667 0.4041
Sb1 Sb 0.0000 0.0000 0.2570
Sb2 Sb 0.3333 0.6667 0.5921
O1 O 0.0207 0.5103 0.5104
O2 O 0.1615 0.3230 0.3329
O3 O 0.1656 0.3313 0.6716
```


7.
Starting from a cell relaxed with PBE, the XRD peak list of Ba4Sc2Cu2O9 was calculated for a wavelength of 1.5418 Å.
No peak broadening, texture or thermal motion is included.

Largest 10 diffraction maxima, low angle first, 10 to 90 degrees two-theta:
hkl 2 2 0, 2.961 Å, I 100
hkl 0 2 4, 2.902 Å, I 78
hkl 2 0 4, 2.888 Å, I 85
hkl 2 2 4, 2.381 Å, I 39
hkl 0 4 0, 2.104 Å, I 26
hkl 4 0 0, 2.083 Å, I 27
hkl 0 0 8, 2.003 Å, I 21
hkl 2 4 4, 1.701 Å, I 34
hkl 4 2 4, 1.692 Å, I 31
hkl 2 2 8, 1.659 Å, I 31

Atomic structure:
```
data_Ba4Sc2Cu2O9
_symmetry_space_group_name_H-M 'F m m m'
_symmetry_Int_Tables_number 69
_symmetry_space_group_name_Hall '-F 2 2'
_cell_length_a 8.3321
_cell_length_b 8.4164
_cell_length_c 16.0266
_cell_angle_alpha 90.00
_cell_angle_beta 90.00
_cell_angle_gamma 90.00
loop_
_atom_site_label
_atom_site_type_symbol
_atom_site_fract_x
_atom_site_fract_y
_atom_site_fract_z
Ba1 Ba 0.2466 0.0000 0.1324
Sc1 Sc 0.0000 0.2500 0.2500
Cu1 Cu 0.0000 0.2284 0.0000
O1 O 0.0000 0.0000 0.0000
O2 O 0.0000 0.0000 0.2436
O3 O 0.0000 0.2288 0.3883
O4 O 0.2500 0.2500 0.2500
```


8.
Starting from a cell relaxed with PBE, the XRD peak list of BaCuSe2O6 was calculated for a wavelength of 1.5418 Å.
No peak broadening, texture or thermal motion is included.

Largest 10 diffraction maxima, low angle first, 10 to 90 degrees two-theta:
hkl 0 1 2, 3.476 Å, I 52
hkl 3 1 1, 3.241 Å, I 100
hkl 2 1 2, 3.093 Å, I 34
hkl 1 0 3, 2.947 Å, I 31
hkl 4 1 0, 2.873 Å, I 22
hkl 0 2 0, 2.712 Å, I 68
hkl 1 2 3, 1.996 Å, I 25
hkl 4 2 2, 1.918 Å, I 17
hkl 7 0 1, 1.891 Å, I 15
hkl 7 1 3, 1.560 Å, I 20

Atomic structure:
```
data_BaCuSe2O6
_symmetry_space_group_name_H-M 'P m n 21'
_symmetry_Int_Tables_number 31
_cell_length_a 13.5475
_cell_length_b 5.4230
_cell_length_c 9.0585
_cell_angle_alpha 90.00
_cell_angle_beta 90.00
_cell_angle_gamma 90.00
loop_
_symmetry_equiv_pos_as_xyz
'x,y,z'
'-x+1/2,-y,z+1/2'
'-x,y,z'
'x+1/2,-y,z+1/2'
loop_
_atom_site_label
_atom_site_type_symbol
_atom_site_fract_x
_atom_site_fract_y
_atom_site_fract_z
Ba1 Ba 0.2022 0.0030 0.0000
Cu1 Cu 0.1308 0.4578 0.2948
Se1 Se 0.0000 0.5269 0.9803
Se2 Se 0.0000 0.9160 0.4100
Se3 Se 0.1427 0.5036 0.6677
O1 O 0.0000 0.5945 0.3489
O2 O 0.0000 0.8406 0.9795
O3 O 0.1023 0.0245 0.3219
O4 O 0.1041 0.4468 0.0825
O5 O 0.1750 0.2103 0.7125
O6 O 0.1876 0.5359 0.4881
O7 O 0.2328 0.6852 0.7524
```